# 1
Starting from a crystal structure in Alexandria, relaxed with GGA-PBE, the X-ray powder pattern of Cs3Cd2P2 was calculated for λ = 1.5418 Å (Cu Kα).
Peak positions follow from Bragg's law for the DFT cell and can differ from measured ones.

Atomic structure:
```
28
Lattice="7.231 0.000 0.000 0.000 9.656 0.000 0.000 0.000 14.574" Properties=species:S:1:pos:R:3 pbc="T T T"
Cs 0.751 1.468 1.670
Cs 0.751 1.468 5.617
Cs 0.751 3.361 8.957
Cs 0.751 3.361 12.905
Cs 2.326 6.737 10.931
Cs 2.326 7.747 3.644
Cs 4.906 1.909 10.931
Cs 4.906 2.919 3.644
Cs 6.481 6.296 1.670
Cs 6.481 6.296 5.617
Cs 6.481 8.189 8.957
Cs 6.481 8.189 12.905
Cd 2.770 0.076 8.537
Cd 2.770 0.076 13.324
Cd 2.770 4.752 1.250
Cd 2.770 4.752 6.037
Cd 4.461 4.904 8.537
Cd 4.461 4.904 13.324
Cd 4.461 9.581 1.250
Cd 4.461 9.581 6.037
P 1.627 0.485 10.931
P 1.627 4.344 3.644
P 3.076 7.242 0.000
P 3.076 7.242 7.287
P 4.155 2.414 0.000
P 4.155 2.414 7.287
P 5.604 5.313 10.931
P 5.604 9.172 3.644
```

The 10 most intense peaks (5 to 70 degrees two-theta), in order of rising 2θ:
d [Å]	I (rel.)
4.020	39
3.871	44
3.425	45
3.386	56
3.298	30
3.084	52
2.883	63
2.778	100
2.698	34
1.793	30

***

# 2
Starting from a crystal structure in Alexandria, relaxed with GGA-PBE, the X-ray powder pattern of CsRb2CdP2 was calculated for λ = 1.5418 Å (Cu Kα).
Peak positions follow from Bragg's law for the DFT cell and can differ from measured ones.

Atomic structure:
```
12
Lattice="-4.269 7.330 3.589 4.269 -7.330 3.589 4.269 7.330 -3.589" Properties=species:S:1:pos:R:3 pbc="T T T"
Cs 0.000 0.000 1.794
Cs 0.000 0.000 5.383
Rb 5.842 2.676 0.000
Rb 1.573 4.654 0.000
Rb 2.695 2.676 3.589
Rb -1.573 4.654 3.589
Cd 4.269 0.000 1.794
Cd 0.000 7.330 1.794
P 2.752 1.356 0.000
P 2.752 -1.356 3.589
P 1.517 8.686 0.000
P 1.517 5.974 3.589
```

The 10 most intense peaks (5 to 70 degrees two-theta), in order of rising 2θ:
d [Å]	I (rel.)
7.335	72
3.689	100
3.223	91
3.049	51
2.781	41
2.747	81
2.572	27
2.564	38
2.198	25
1.826	27

***

# 3
Starting from a crystal structure in Alexandria, relaxed with GGA-PBE, the X-ray powder pattern of CsCd3Pb4 was calculated for λ = 1.5418 Å (Cu Kα).
Peak positions follow from Bragg's law for the DFT cell and can differ from measured ones.

Atomic structure:
```
8
Lattice="5.392 0.000 0.000 0.000 5.392 0.000 0.000 0.000 9.300" Properties=species:S:1:pos:R:3 pbc="T T T"
Cs 0.000 0.000 0.000
Cd 0.000 0.000 4.650
Cd 2.696 2.696 1.433
Cd 2.696 2.696 7.866
Pb 0.000 2.696 3.021
Pb 0.000 2.696 6.279
Pb 2.696 0.000 3.021
Pb 2.696 0.000 6.279
```

The 10 most intense peaks (5 to 70 degrees two-theta), in order of rising 2θ:
d [Å]	I (rel.)
9.300	25
3.526	90
2.948	63
2.696	100
2.405	90
2.034	20
1.906	41
1.673	21
1.601	21
1.494	41

***

# 4
Starting from a crystal structure in Alexandria, relaxed with GGA-PBE, the X-ray powder pattern of CsCd4Pb8 was calculated for λ = 1.5418 Å (Cu Kα).
Peak positions follow from Bragg's law for the DFT cell and can differ from measured ones.

Atomic structure:
```
13
Lattice="-5.758 5.758 3.072 5.758 -5.758 3.072 5.758 5.758 -3.072" Properties=species:S:1:pos:R:3 pbc="T T T"
Cs 0.000 0.000 0.000
Cd 2.879 2.879 -1.536
Cd 2.879 -2.879 1.536
Cd -2.879 2.879 1.536
Cd 2.879 2.879 1.536
Pb 4.090 0.000 0.000
Pb 7.425 0.000 0.000
Pb 5.758 3.183 0.000
Pb 0.000 4.090 0.000
Pb 3.183 5.758 0.000
Pb 2.574 0.000 3.072
Pb 0.000 7.425 0.000
Pb 0.000 2.574 3.072
```

The 10 most intense peaks (5 to 70 degrees two-theta), in order of rising 2θ:
d [Å]	I (rel.)
3.255	36
2.879	53
2.834	100
2.711	44
2.575	29
2.542	58
2.452	59
1.725	39
1.653	47
1.628	32

***

# 5
Starting from a crystal structure in Alexandria, relaxed with GGA-PBE, the X-ray powder pattern of CsCd3Pb was calculated for λ = 1.5418 Å (Cu Kα).
Peak positions follow from Bragg's law for the DFT cell and can differ from measured ones.

Atomic structure:
```
10
Lattice="5.984 0.000 0.000 0.000 7.434 0.000 -1.111 0.000 8.389" Properties=species:S:1:pos:R:3 pbc="T T T"
Cs 0.779 1.858 1.247
Cs 4.093 5.575 7.142
Cd -0.629 1.858 5.610
Cd 1.111 4.088 4.756
Cd 1.111 7.063 4.756
Cd 3.761 0.371 3.634
Cd 3.761 3.346 3.634
Cd 5.502 5.575 2.779
Pb 2.470 5.575 1.914
Pb 2.403 1.858 6.476
```

The 10 most intense peaks (5 to 70 degrees two-theta), in order of rising 2θ:
d [Å]	I (rel.)
8.389	100
5.564	84
3.893	87
3.658	91
3.283	60
2.883	52
2.782	99
2.717	75
2.318	53
1.805	50

***

# 6
Starting from a crystal structure in Alexandria, relaxed with GGA-PBE, the X-ray powder pattern of CsTlCd2Pb4 was calculated for λ = 1.5418 Å (Cu Kα).
Peak positions follow from Bragg's law for the DFT cell and can differ from measured ones.

Atomic structure:
```
8
Lattice="2.721 1.571 10.946 -2.721 1.571 10.946 0.000 -3.142 10.946" Properties=species:S:1:pos:R:3 pbc="T T T"
Cs 0.000 0.000 0.000
Tl 0.000 0.000 16.420
Cd 0.000 0.000 8.001
Cd 0.000 0.000 24.838
Pb 0.000 0.000 4.260
Pb 0.000 0.000 13.385
Pb 0.000 0.000 19.454
Pb 0.000 0.000 28.579
```

The 10 most intense peaks (5 to 70 degrees two-theta), in order of rising 2θ:
d [Å]	I (rel.)
10.946	48
3.325	18
3.095	62
2.721	100
2.522	38
2.043	20
1.850	15
1.634	19
1.571	19
1.530	17

***

# 7
Starting from a crystal structure in Alexandria, relaxed with GGA-PBE, the X-ray powder pattern of CsCd3Pd2 was calculated for λ = 1.5418 Å (Cu Kα).
Peak positions follow from Bragg's law for the DFT cell and can differ from measured ones.

Atomic structure:
```
12
Lattice="6.093 -4.411 0.000 6.093 4.411 0.000 0.000 0.000 5.920" Properties=species:S:1:pos:R:3 pbc="T T T"
Cs 6.093 3.153 4.440
Cs 6.093 -3.153 1.480
Cd 3.495 2.368 1.480
Cd 6.093 0.547 1.480
Cd 8.691 2.368 1.480
Cd 3.495 -2.368 4.440
Cd 6.093 -0.547 4.440
Cd 8.691 -2.368 4.440
Pd 3.784 0.000 0.000
Pd 3.784 0.000 2.960
Pd 8.402 0.000 0.000
Pd 8.402 0.000 2.960
```

The 10 most intense peaks (5 to 70 degrees two-theta), in order of rising 2θ:
d [Å]	I (rel.)
7.146	51
3.131	60
3.059	88
3.046	52
2.858	38
2.458	55
2.309	54
2.279	100
2.123	33
2.074	46

***

# 8
Starting from a crystal structure in Alexandria, relaxed with GGA-PBE, the X-ray powder pattern of Cs2PmCd2S4 was calculated for λ = 1.5418 Å (Cu Kα).
Peak positions follow from Bragg's law for the DFT cell and can differ from measured ones.

Atomic structure:
```
9
Lattice="8.377 -2.069 0.000 8.377 2.069 0.000 -3.296 0.000 7.922" Properties=species:S:1:pos:R:3 pbc="T T T"
Cs 1.941 0.000 0.451
Cs 11.516 0.000 7.470
Pm -1.648 0.000 3.961
Cd 3.689 0.000 3.813
Cd 9.768 0.000 4.109
S 0.725 0.000 5.591
S 5.585 0.000 5.584
S 7.872 0.000 2.338
S 12.732 0.000 2.331
```

The 10 most intense peaks (5 to 70 degrees two-theta), in order of rising 2θ:
d [Å]	I (rel.)
7.922	53
3.998	29
3.961	74
3.277	100
3.044	50
2.965	40
2.861	74
2.765	87
2.069	46
1.838	38

***

# 9
Starting from a crystal structure in Alexandria, relaxed with GGA-PBE, the X-ray powder pattern of Cs6Cd3Pt was calculated for λ = 1.5418 Å (Cu Kα).
Peak positions follow from Bragg's law for the DFT cell and can differ from measured ones.

Atomic structure:
```
20
Lattice="10.443 0.000 0.000 0.000 8.129 0.000 -7.846 0.000 13.228" Properties=species:S:1:pos:R:3 pbc="T T T"
Cs -2.295 0.916 5.558
Cs -6.218 3.149 12.172
Cs -0.672 4.515 5.400
Cs -4.595 7.679 12.015
Cs -1.553 5.630 9.359
Cs 2.370 6.563 2.745
Cs 0.227 1.565 10.484
Cs 4.150 2.499 3.869
Cs 7.192 0.450 1.214
Cs 3.269 3.614 7.828
Cs 8.816 4.980 1.057
Cs 4.893 7.213 7.671
Cd 0.283 1.595 2.208
Cd -3.640 2.470 8.822
Cd 1.299 0.000 6.614
Cd 5.222 4.064 0.000
Cd 6.237 5.659 4.406
Cd 2.314 6.534 11.020
Pt 0.000 0.000 0.000
Pt -3.923 4.064 6.614
```

The 10 most intense peaks (5 to 70 degrees two-theta), in order of rising 2θ:
d [Å]	I (rel.)
8.982	32
3.932	83
3.787	100
3.463	58
3.193	29
3.149	52
3.062	43
2.948	28
2.478	32
2.167	39

***

# 10
Starting from a crystal structure in Alexandria, relaxed with GGA-PBE, the X-ray powder pattern of Cs3Cd9Pt2 was calculated for λ = 1.5418 Å (Cu Kα).
Peak positions follow from Bragg's law for the DFT cell and can differ from measured ones.

Atomic structure:
```
14
Lattice="7.426 0.000 0.000 -3.713 6.431 0.000 0.000 0.000 9.093" Properties=species:S:1:pos:R:3 pbc="T T T"
Cs 0.000 0.000 0.000
Cs 0.000 4.287 2.988
Cs 3.713 2.144 6.106
Cd -1.856 3.215 0.000
Cd 0.000 1.959 5.875
Cd -2.017 5.452 5.875
Cd 1.696 0.979 3.219
Cd 3.713 0.000 0.000
Cd 1.856 3.215 0.000
Cd 2.017 5.452 5.875
Cd 5.729 0.979 3.219
Cd 3.713 4.472 3.219
Pt 0.000 4.287 7.398
Pt 3.713 2.144 1.695
```

The 10 most intense peaks (5 to 70 degrees two-theta), in order of rising 2θ:
d [Å]	I (rel.)
5.251	24
3.713	32
3.031	71
2.625	100
2.348	14
2.143	16
1.856	65
1.583	25
1.516	21
1.403	11

***

# 11
Starting from a crystal structure in Alexandria, relaxed with GGA-PBE, the X-ray powder pattern of Cs3CdPt was calculated for λ = 1.5418 Å (Cu Kα).
Peak positions follow from Bragg's law for the DFT cell and can differ from measured ones.

Atomic structure:
```
20
Lattice="15.971 0.000 0.000 0.000 15.971 0.000 0.000 0.000 5.298" Properties=species:S:1:pos:R:3 pbc="T T T"
Cs 1.511 1.511 0.000
Cs 1.733 10.837 0.000
Cs 2.852 6.253 2.649
Cs 5.134 14.239 0.000
Cs 6.253 2.852 2.649
Cs 6.474 9.497 2.649
Cs 9.497 6.474 2.649
Cs 9.718 13.120 2.649
Cs 10.837 1.733 0.000
Cs 13.120 9.718 2.649
Cs 14.239 5.134 0.000
Cs 14.460 14.460 0.000
Cd 1.893 14.079 2.649
Cd 6.093 6.093 0.000
Cd 9.878 9.878 0.000
Cd 14.079 1.893 2.649
Pt 1.867 14.104 0.000
Pt 6.118 6.118 2.649
Pt 9.853 9.853 2.649
Pt 14.104 1.867 0.000
```

The 10 most intense peaks (5 to 70 degrees two-theta), in order of rising 2θ:
d [Å]	I (rel.)
11.293	95
7.143	90
5.029	52
3.993	100
3.865	44
3.131	46
2.736	50
2.649	28
2.258	45
2.207	41

***

# 12
Starting from a crystal structure in Alexandria, relaxed with GGA-PBE, the X-ray powder pattern of CsCd3Pt was calculated for λ = 1.5418 Å (Cu Kα).
Peak positions follow from Bragg's law for the DFT cell and can differ from measured ones.

Atomic structure:
```
20
Lattice="9.177 0.000 0.000 0.000 6.945 0.000 -4.206 0.000 9.581" Properties=species:S:1:pos:R:3 pbc="T T T"
Cs 0.221 0.373 2.024
Cs -1.882 3.100 6.815
Cs 6.854 3.846 2.767
Cs 4.751 6.572 7.557
Cd 1.311 3.918 0.779
Cd -0.792 6.500 5.570
Cd -0.744 0.039 8.641
Cd 1.359 3.433 3.850
Cd 1.590 1.198 6.754
Cd 3.693 2.275 1.963
Cd 1.279 4.670 7.618
Cd 3.381 5.748 2.828
Cd 3.612 3.512 5.731
Cd 5.715 6.906 0.941
Cd 5.763 0.445 4.012
Cd 3.661 3.028 8.802
Pt 3.994 4.619 0.419
Pt 1.891 5.799 5.210
Pt 3.080 1.146 4.371
Pt 0.978 2.327 9.162
```

The 10 most intense peaks (5 to 70 degrees two-theta), in order of rising 2θ:
d [Å]	I (rel.)
8.403	100
3.590	18
3.209	20
3.116	40
3.040	23
2.912	24
2.801	18
2.783	35
2.675	24
2.264	19